(1)
Computed powder XRD pattern
Compound: DyPPd
Radiation: Cu Kα, 1.54184 Å
Structure: a cell relaxed with GGA-PBE
No peak broadening, texture or thermal motion is included.

Cell and atoms:
Lattice parameters (Å, degrees): 6.887 4.030 7.755 90.00 90.00 90.00
Atoms (fractional coordinates):
Dy1 0.026 0.250 0.186
Dy2 0.474 0.750 0.686
Dy3 0.526 0.250 0.314
Dy4 0.974 0.750 0.814
P1 0.243 0.750 0.377
P2 0.257 0.250 0.877
P3 0.743 0.750 0.123
P4 0.757 0.250 0.623
Pd1 0.148 0.250 0.562
Pd2 0.352 0.750 0.062
Pd3 0.648 0.250 0.938
Pd4 0.852 0.750 0.438

Top 6 peaks for 10 to 90 degrees two-theta, in order of rising 2θ:
2θ 34.25, rel. 46.0; 2θ 34.64, rel. 98.6; 2θ 36.21, rel. 100.0; 2θ 37.15, rel. 47.0; 2θ 41.50, rel. 36.3; 2θ 44.99, rel. 40.7



(2)
Computed powder XRD pattern
Compound: DyP2Pt8
Radiation: Cu Kα, 1.54184 Å
Structure: a cell relaxed with GGA-PBE
No peak broadening, texture or thermal motion is included.

Cell and atoms:
Lattice parameters (Å, degrees): 6.340 6.340 9.409 125.16 125.16 37.35
Atoms (fractional coordinates):
Dy1 0.000 0.000 0.000
P1 0.442 0.442 0.209
P2 0.558 0.558 0.791
Pt1 0.025 0.025 0.369
Pt2 0.276 0.276 0.914
Pt3 0.323 0.323 0.656
Pt4 0.334 0.334 0.348
Pt5 0.666 0.666 0.652
Pt6 0.677 0.677 0.344
Pt7 0.724 0.724 0.086
Pt8 0.975 0.975 0.631

Top 6 peaks for 10 to 90 degrees two-theta, in order of rising 2θ:
2θ 35.87, rel. 84.2; 2θ 36.07, rel. 26.9; 2θ 36.76, rel. 100.0; 2θ 44.64, rel. 35.3; 2θ 45.33, rel. 30.6; 2θ 65.50, rel. 20.6



(3)
Computed powder XRD pattern
Compound: DyPPt
Radiation: Cu Kα, 1.54184 Å
Structure: a cell relaxed with GGA-PBE
No peak broadening, texture or thermal motion is included.

Cell and atoms:
Lattice parameters (Å, degrees): 4.136 4.136 3.881 90.00 90.00 120.00
Atoms (fractional coordinates):
Dy1 0.000 0.000 0.000
P1 0.667 0.333 0.500
Pt1 0.333 0.667 0.500

Top 6 peaks for 10 to 90 degrees two-theta, in order of rising 2θ:
2θ 24.86, rel. 25.5; 2θ 34.06, rel. 100.0; 2θ 43.78, rel. 39.3; 2θ 56.60, rel. 23.7; 2θ 66.02, rel. 23.3; 2θ 74.19, rel. 21.4



(4)
Computed powder XRD pattern
Compound: Dy2P7Rh12
Radiation: Cu Kα, 1.54184 Å
Structure: a cell relaxed with GGA-PBE
No peak broadening, texture or thermal motion is included.

Cell and atoms:
Lattice parameters (Å, degrees): 9.629 9.629 3.878 90.00 90.00 120.00
Atoms (fractional coordinates):
Dy1 0.333 0.667 0.249
Dy2 0.667 0.333 0.751
P1 0.000 0.000 0.000
P2 0.119 0.405 0.746
P3 0.286 0.881 0.746
P4 0.405 0.286 0.254
P5 0.595 0.714 0.746
P6 0.714 0.119 0.254
P7 0.881 0.595 0.254
Rh1 0.068 0.618 0.749
Rh2 0.111 0.850 0.249
Rh3 0.150 0.261 0.249
Rh4 0.261 0.111 0.751
Rh5 0.382 0.451 0.749
Rh6 0.451 0.068 0.251
Rh7 0.549 0.932 0.749
Rh8 0.618 0.549 0.251
Rh9 0.739 0.889 0.249
Rh10 0.850 0.739 0.751
Rh11 0.889 0.150 0.751
Rh12 0.932 0.382 0.251

Top 6 peaks for 10 to 90 degrees two-theta, in order of rising 2θ:
2θ 28.32, rel. 13.8; 2θ 36.74, rel. 100.0; 2θ 46.85, rel. 15.0; 2θ 50.13, rel. 18.0; 2θ 71.04, rel. 11.3; 2θ 80.27, rel. 10.1



(5)
Computed powder XRD pattern
Compound: Dy5P12Ru19
Radiation: Cu Kα, 1.54184 Å
Structure: a cell relaxed with GGA-PBE
No peak broadening, texture or thermal motion is included.

Cell and atoms:
Lattice parameters (Å, degrees): 12.533 12.533 3.985 90.00 90.00 120.00
Atoms (fractional coordinates):
Dy1 0.000 0.816 0.000
Dy2 0.184 0.184 0.000
Dy3 0.333 0.667 0.500
Dy4 0.667 0.333 0.500
Dy5 0.816 0.000 0.000
P1 0.000 0.185 0.500
P2 0.000 0.627 0.500
P3 0.171 0.477 0.000
P4 0.185 0.000 0.500
P5 0.306 0.829 0.000
P6 0.373 0.373 0.500
P7 0.477 0.171 0.000
P8 0.523 0.694 0.000
P9 0.627 0.000 0.500
P10 0.694 0.523 0.000
P11 0.815 0.815 0.500
P12 0.829 0.306 0.000
Ru1 0.000 0.000 0.500
Ru2 0.000 0.283 0.000
Ru3 0.000 0.445 0.500
Ru4 0.126 0.634 0.000
Ru5 0.185 0.377 0.500
Ru6 0.192 0.815 0.500
Ru7 0.283 0.000 0.000
Ru8 0.366 0.492 0.000
Ru9 0.377 0.185 0.500
Ru10 0.445 0.000 0.500
Ru11 0.492 0.366 0.000
Ru12 0.508 0.874 0.000
Ru13 0.555 0.555 0.500
Ru14 0.623 0.808 0.500
Ru15 0.634 0.126 0.000
Ru16 0.717 0.717 0.000
Ru17 0.808 0.623 0.500
Ru18 0.815 0.192 0.500
Ru19 0.874 0.508 0.000

Top 6 peaks for 10 to 90 degrees two-theta, in order of rising 2θ:
2θ 28.49, rel. 16.7; 2θ 36.48, rel. 100.0; 2θ 37.44, rel. 25.7; 2θ 45.53, rel. 23.1; 2θ 50.45, rel. 14.4; 2θ 78.15, rel. 13.1



(6)
Computed powder XRD pattern
Compound: DyPS
Radiation: Cu Kα, 1.54184 Å
Structure: a cell relaxed with GGA-PBE
No peak broadening, texture or thermal motion is included.

Cell and atoms:
Lattice parameters (Å, degrees): 5.375 5.317 16.727 90.00 90.00 90.00
Atoms (fractional coordinates):
Dy1 0.015 0.250 0.146
Dy2 0.016 0.750 0.362
Dy3 0.484 0.250 0.862
Dy4 0.485 0.750 0.646
Dy5 0.515 0.250 0.354
Dy6 0.516 0.750 0.138
Dy7 0.984 0.250 0.638
Dy8 0.985 0.750 0.854
P1 0.205 0.536 0.997
P2 0.205 0.964 0.997
P3 0.295 0.036 0.497
P4 0.295 0.464 0.497
P5 0.705 0.536 0.503
P6 0.705 0.964 0.503
P7 0.795 0.036 0.003
P8 0.795 0.464 0.003
S1 0.012 0.250 0.316
S2 0.015 0.750 0.189
S3 0.485 0.250 0.689
S4 0.488 0.750 0.816
S5 0.512 0.250 0.184
S6 0.515 0.750 0.311
S7 0.985 0.250 0.811
S8 0.988 0.750 0.684

Top 6 peaks for 10 to 90 degrees two-theta, in order of rising 2θ:
2θ 21.25, rel. 30.0; 2θ 25.87, rel. 100.0; 2θ 33.72, rel. 21.5; 2θ 39.88, rel. 26.6; 2θ 40.19, rel. 67.3; 2θ 48.15, rel. 24.1